(1)
Starting from a crystal structure in Alexandria, relaxed with PBE, the PXRD pattern of Dy3ErTm8 was simulated for a wavelength of 1.5418 Å.

Largest 6 diffraction maxima, in order of rising 2θ, 2θ from 10° to 80°:
d 4.375, 2θ 20.3, rel. 245; d 3.789, 2θ 23.5, rel. 151; d 2.679, 2θ 33.4, rel. 1000; d 2.285, 2θ 39.4, rel. 135; d 1.893, 2θ 48.1, rel. 122; d 1.547, 2θ 59.8, rel. 381

Cell and atoms:
Cell: 9.288 9.288 9.288 Å, 131.89 131.89 70.41°
Sites, in units of the cell vectors:
Dy 0.000 0.000 0.000
Dy 0.250 0.750 0.500
Dy 0.750 0.250 0.500
Er 0.500 0.500 0.000
Tm 0.126 0.126 0.501
Tm 0.126 0.625 0.000
Tm 0.375 0.375 0.501
Tm 0.375 0.874 0.000
Tm 0.625 0.126 0.000
Tm 0.625 0.625 0.499
Tm 0.874 0.375 0.000
Tm 0.874 0.874 0.499


(2)
Starting from a crystal structure in Alexandria, relaxed with PBE, the PXRD pattern of Dy7ErTm3 was simulated for a wavelength of 1.5418 Å.

Largest 6 diffraction maxima, in order of rising 2θ, 2θ from 10° to 80°:
d 2.868, 2θ 31.2, rel. 384; d 2.766, 2θ 32.4, rel. 303; d 2.706, 2θ 33.1, rel. 1000; d 1.991, 2θ 45.6, rel. 236; d 1.623, 2θ 56.7, rel. 217; d 1.469, 2θ 63.3, rel. 177

Cell and atoms:
Cell: 8.332 8.332 5.736 Å, 110.10 110.10 83.20°
Sites, in units of the cell vectors:
Dy 0.000 0.000 0.000
Dy 0.099 0.509 0.304
Dy 0.292 0.292 0.793
Dy 0.491 0.901 0.696
Dy 0.509 0.099 0.304
Dy 0.708 0.708 0.207
Dy 0.901 0.491 0.696
Er 0.000 0.000 0.500
Tm 0.294 0.706 0.000
Tm 0.500 0.500 0.500
Tm 0.706 0.294 0.000


(3)
Starting from a crystal structure in Alexandria, relaxed with PBE, the PXRD pattern of Dy3Er8Tm4 was simulated for a wavelength of 1.5418 Å.

Largest 6 diffraction maxima, in order of rising 2θ, 2θ from 10° to 80°:
d 3.179, 2θ 28.1, rel. 375; d 2.870, 2θ 31.2, rel. 493; d 2.853, 2θ 31.4, rel. 1000; d 2.779, 2θ 32.2, rel. 291; d 2.131, 2θ 42.4, rel. 231; d 2.123, 2θ 42.6, rel. 477

Cell and atoms:
Cell: 9.147 9.147 6.624 Å, 111.02 111.02 88.08°
Sites, in units of the cell vectors:
Dy 0.000 0.000 0.000
Dy 0.000 0.500 0.000
Dy 0.500 0.000 0.000
Er 0.140 0.860 0.500
Er 0.232 0.232 0.954
Er 0.238 0.238 0.481
Er 0.250 0.750 0.000
Er 0.750 0.250 0.000
Er 0.762 0.762 0.519
Er 0.768 0.768 0.046
Er 0.860 0.140 0.500
Tm 0.000 0.500 0.500
Tm 0.500 0.000 0.500
Tm 0.500 0.500 0.000
Tm 0.500 0.500 0.500


(4)
Starting from a crystal structure in Alexandria, relaxed with PBE, the PXRD pattern of Dy3Er2Tm7 was simulated for a wavelength of 1.5418 Å.

Largest 6 diffraction maxima, in order of rising 2θ, 2θ from 10° to 80°:
d 2.952, 2θ 30.3, rel. 321; d 2.846, 2θ 31.4, rel. 1000; d 2.804, 2θ 31.9, rel. 610; d 2.602, 2θ 34.5, rel. 358; d 2.530, 2θ 35.5, rel. 449; d 1.700, 2θ 53.9, rel. 215

Cell and atoms:
Cell: 6.222 3.466 17.158 Å, 90.00 96.20 90.00°
Sites, in units of the cell vectors:
Dy 0.000 0.000 0.000
Dy 0.051 0.500 0.657
Dy 0.949 0.500 0.343
Er 0.439 0.000 0.326
Er 0.561 0.000 0.674
Tm 0.225 0.500 0.165
Tm 0.246 0.000 0.501
Tm 0.276 0.000 0.833
Tm 0.500 0.500 0.000
Tm 0.724 0.000 0.167
Tm 0.754 0.000 0.499
Tm 0.775 0.500 0.835


(5)
Starting from a crystal structure in Alexandria, relaxed with PBE, the PXRD pattern of DyEr4Tm was simulated for a wavelength of 1.5418 Å.

Largest 6 diffraction maxima, in order of rising 2θ, 2θ from 10° to 80°:
d 2.801, 2θ 32.0, rel. 923; d 2.760, 2θ 32.4, rel. 1000; d 1.966, 2θ 46.2, rel. 335; d 1.602, 2θ 57.5, rel. 233; d 1.594, 2θ 57.8, rel. 129; d 1.465, 2θ 63.5, rel. 293

Cell and atoms:
Cell: 3.457 5.526 9.548 Å, 90.00 90.00 90.00°
Sites, in units of the cell vectors:
Dy 0.000 0.000 0.000
Er 0.500 0.000 0.334
Er 0.500 0.000 0.666
Er 0.500 0.500 0.168
Er 0.500 0.500 0.832
Tm 0.000 0.500 0.500


(6)
Starting from a crystal structure in Alexandria, relaxed with PBE, the PXRD pattern of DyEr7Tm3 was simulated for a wavelength of 1.5418 Å.

Largest 6 diffraction maxima, in order of rising 2θ, 2θ from 10° to 80°:
d 2.791, 2θ 32.1, rel. 270; d 2.773, 2θ 32.3, rel. 1000; d 2.759, 2θ 32.5, rel. 834; d 2.721, 2θ 32.9, rel. 659; d 2.667, 2θ 33.6, rel. 688; d 1.450, 2θ 64.2, rel. 231

Cell and atoms:
Cell: 6.856 5.442 9.763 Å, 90.00 109.94 90.00°
Sites, in units of the cell vectors:
Dy 0.000 0.000 0.000
Er 0.000 0.000 0.500
Er 0.147 0.500 0.791
Er 0.322 0.500 0.141
Er 0.421 0.000 0.331
Er 0.579 0.000 0.669
Er 0.678 0.500 0.859
Er 0.853 0.500 0.209
Tm 0.277 0.500 0.498
Tm 0.500 0.000 0.000
Tm 0.723 0.500 0.502